The following is a calculated X-ray diffraction stick pattern of K2NbCoH6. It was derived from a crystal structure in OQMD, relaxed with PBE, using Cu Kα X-rays.

Atomic structure:
Cell: 9.6959 9.6959 9.6959 Å, 33.28 33.28 33.28°
Positions (direct):
K 0.1223 0.1223 0.1223
K 0.2868 0.2868 0.2868
K 0.7132 0.7132 0.7132
K 0.8777 0.8777 0.8777
Nb 0.0000 0.0000 0.0000
Nb 0.5000 0.5000 0.5000
Co 0.4074 0.4074 0.4074
Co 0.5926 0.5926 0.5926
H 0.1755 0.5795 0.5795
H 0.2271 0.2271 0.6658
H 0.2271 0.6658 0.2271
H 0.3342 0.7729 0.7729
H 0.4205 0.4205 0.8245
H 0.4205 0.8245 0.4205
H 0.5795 0.1755 0.5795
H 0.5795 0.5795 0.1755
H 0.6658 0.2271 0.2271
H 0.7729 0.3342 0.7729
H 0.7729 0.7729 0.3342
H 0.8245 0.4205 0.4205

Main lines, by angle (2θ = 10–90°):
| two_theta | d/Å | I_rel |
| --- | --- | --- |
| 19.6 | 4.538 | 47 |
| 29.4 | 3.039 | 24 |
| 32.0 | 2.793 | 26 |
| 32.2 | 2.776 | 100 |
| 37.7 | 2.384 | 38 |
| 38.0 | 2.369 | 9 |
| 44.2 | 2.050 | 9 |
| 50.5 | 1.809 | 17 |
| 57.4 | 1.606 | 9 |
| 57.5 | 1.603 | 17 |
| 61.2 | 1.515 | 17 |
| 67.5 | 1.388 | 11 |

The following is a calculated X-ray diffraction stick pattern of K2NbCoH6. It was derived from a crystal structure in OQMD, relaxed with PBE, using Cu Kα X-rays.

Atomic structure:
Cell: 5.3697 5.3697 5.3697 Å, 119.97 119.97 90.06°
Positions (direct):
K 0.2500 0.7500 0.5000
K 0.7500 0.2500 0.5000
Nb 0.0000 0.0000 0.0000
Co 0.5000 0.5000 0.0000
H 0.2768 0.2790 0.5558
H 0.2781 0.2781 0.0000
H 0.2790 0.7232 0.0022
H 0.7210 0.2768 0.9978
H 0.7219 0.7219 0.0000
H 0.7232 0.7210 0.4442

Main lines, by angle (2θ = 10–90°):
| two_theta | d/Å | I_rel |
| --- | --- | --- |
| 20.3 | 4.385 | 4 |
| 23.4 | 3.798 | 14 |
| 33.4 | 2.685 | 100 |
| 39.3 | 2.290 | 3 |
| 41.2 | 2.193 | 3 |
| 47.9 | 1.899 | 18 |
| 54.0 | 1.698 | 6 |
| 59.6 | 1.550 | 34 |
| 70.1 | 1.343 | 10 |
| 75.0 | 1.266 | 3 |
| 79.9 | 1.201 | 14 |
| 89.4 | 1.096 | 4 |